Ba2CaCeGd2Ti2Cu2O14: theoretical PXRD pattern (Cu Kα X-rays), based on a crystal structure in Alexandria, relaxed with GGA-PBE.

Top 10 peaks for 10 to 90 degrees two-theta, by angle:
(1 0 1), 23.16°, d 3.840, rel. 16
(1 0 5), 31.39°, d 2.850, rel. 100
(1 1 0), 32.41°, d 2.762, rel. 46
(1 1 6), 41.79°, d 2.162, rel. 17
(0 0 10), 43.44°, d 2.083, rel. 11
(2 0 0), 46.49°, d 1.953, rel. 30
(1 0 11), 53.81°, d 1.704, rel. 11
(1 1 10), 55.23°, d 1.663, rel. 18
(2 1 5), 57.17°, d 1.611, rel. 36
(2 0 10), 65.51°, d 1.425, rel. 13

Crystal structure
Cell: 3.9067 3.9067 20.8325 Å, 90.00 90.00 90.00°
Space group P4mm (No. 99)
Symmetry-distinct sites (fractional):
Ba1 0.0000 0.0000 0.0000 x1
Ba2 0.5000 0.5000 0.4882 x1
Ca1 0.0000 0.0000 0.8122 x1
Ce1 0.5000 0.5000 0.3054 x1
Gd1 0.0000 0.0000 0.1822 x1
Gd2 0.5000 0.5000 0.6874 x1
Ti1 0.0000 0.0000 0.6017 x1
Ti2 0.5000 0.5000 0.8929 x1
Cu1 0.0000 0.0000 0.3895 x1
Cu2 0.5000 0.5000 0.0985 x1
O1 0.0000 0.0000 0.5122 x1
O2 0.0000 0.0000 0.7018 x1
O3 0.0000 0.5000 0.1093 x2
O4 0.0000 0.5000 0.2480 x2
O5 0.0000 0.5000 0.3826 x2
O6 0.0000 0.5000 0.6110 x2
O7 0.0000 0.5000 0.8853 x2
O8 0.5000 0.5000 0.7891 x1
O9 0.5000 0.5000 0.9828 x1



AcPr8Tm3: theoretical PXRD pattern (Cu Kα X-rays), based on a crystal structure in Alexandria, relaxed with GGA-PBE.

Top 10 peaks for 10 to 90 degrees two-theta, by angle:
(1 1 0), 27.86°, d 3.202, rel. 11
(1 1 1), 28.87°, d 3.093, rel. 34
(0 0 4), 30.01°, d 2.977, rel. 32
(2 -1 2), 31.73°, d 2.820, rel. 100
(1 1 3), 36.03°, d 2.492, rel. 19
(3 0 0), 49.29°, d 1.849, rel. 25
(2 -1 6), 54.38°, d 1.687, rel. 22
(3 0 4), 58.79°, d 1.571, rel. 29
(2 2 2), 59.81°, d 1.546, rel. 17
(5 -1 2), 81.07°, d 1.186, rel. 14

Crystal structure
Cell: 6.4049 6.4049 11.9092 Å, 90.00 90.00 120.00°
Space group P-31m (No. 162)
Symmetry-distinct sites (fractional):
Ac1 0.0000 0.0000 0.0000 x1
Pr1 0.0000 0.3367 0.7421 x6
Pr2 0.3333 0.6667 0.0000 x2
Tm1 0.0000 0.0000 0.5000 x1
Tm2 0.3333 0.6667 0.5000 x2



CuHPt2Rh: theoretical PXRD pattern (Cu Kα X-rays), based on a crystal structure in Alexandria, relaxed with GGA-PBE.

Top 10 peaks for 10 to 90 degrees two-theta, by angle:
(0 0 1), 22.81°, d 3.898, rel. 14
(1 1 0), 31.91°, d 2.804, rel. 12
(1 1 1), 39.59°, d 2.276, rel. 100
(2 0 0), 45.76°, d 1.983, rel. 33
(0 0 2), 46.60°, d 1.949, rel. 16
(2 2 0), 66.71°, d 1.402, rel. 11
(2 0 2), 67.37°, d 1.390, rel. 21
(3 1 1), 80.44°, d 1.194, rel. 25
(1 1 3), 81.68°, d 1.179, rel. 12
(2 2 2), 85.27°, d 1.138, rel. 11

Crystal structure
Cell: 3.9659 3.9659 3.8978 Å, 90.00 90.00 90.00°
Space group P4/mmm (No. 123)
Symmetry-distinct sites (fractional):
Cu1 0.0000 0.0000 0.0000 x1
H1 0.5000 0.5000 0.5000 x1
Pt1 0.0000 0.5000 0.5000 x2
Rh1 0.5000 0.5000 0.0000 x1



PC: theoretical PXRD pattern (Cu Kα X-rays), based on a crystal structure in Alexandria, relaxed with GGA-PBE.

Top 10 peaks for 10 to 90 degrees two-theta, by angle:
(0 0 1), 16.44°, d 5.393, rel. 100
(2 0 0), 26.93°, d 3.311, rel. 62
(0 0 2), 33.21°, d 2.697, rel. 21
(2 0 -2), 34.79°, d 2.579, rel. 36
(1 1 -1), 35.00°, d 2.564, rel. 28
(1 1 1), 39.41°, d 2.286, rel. 66
(3 1 -1), 49.54°, d 1.840, rel. 15
(1 1 -3), 57.39°, d 1.605, rel. 15
(3 1 1), 59.39°, d 1.556, rel. 18
(1 1 -4), 73.95°, d 1.282, rel. 15

Crystal structure
Cell: 7.0678 2.9552 5.7568 Å, 90.00 110.47 90.00°
Space group C2/m (No. 12)
Symmetry-distinct sites (fractional):
P1 0.2400 0.0000 0.2870 x4
C1 0.1118 0.0000 0.5336 x4



MgBe5Au6: theoretical PXRD pattern (Cu Kα X-rays), based on a crystal structure in Alexandria, relaxed with GGA-PBE.

Top 10 peaks for 10 to 90 degrees two-theta, by angle:
(0 2 0), 29.00°, d 3.079, rel. 100
(1 0 -1), 29.69°, d 3.009, rel. 95
(1 0 2), 29.85°, d 2.993, rel. 94
(1 2 -1), 41.99°, d 2.152, rel. 90
(1 2 2), 42.10°, d 2.146, rel. 90
(2 0 1), 42.53°, d 2.125, rel. 45
(0 0 3), 42.68°, d 2.119, rel. 42
(2 2 1), 52.30°, d 1.749, rel. 40
(0 2 3), 52.43°, d 1.745, rel. 38
(3 0 0), 69.88°, d 1.346, rel. 25

Crystal structure
Cell: 4.2510 6.1573 6.6916 Å, 89.98 71.78 90.00°
Space group P-1 (No. 2)
Symmetry-distinct sites (fractional):
Mg1 0.0000 0.0000 0.0000 x1
Be1 0.0000 0.5000 0.0000 x1
Be2 0.3337 0.0006 0.3332 x2
Be3 0.3374 0.5000 0.3202 x2
Au1 0.1746 0.2594 0.6523 x2
Au2 0.1749 0.7422 0.6514 x2
Au3 0.4998 0.2675 0.0004 x2



Tb8Zn2Fe: theoretical PXRD pattern (Cu Kα X-rays), based on a crystal structure in Alexandria, relaxed with GGA-PBE.

Top 10 peaks for 10 to 90 degrees two-theta, by angle:
(3 1 1), 29.77°, d 3.001, rel. 62
(6 0 -1), 31.38°, d 2.851, rel. 10
(5 1 -1), 31.67°, d 2.826, rel. 38
(1 1 -2), 31.81°, d 2.814, rel. 33
(5 1 0), 32.14°, d 2.785, rel. 48
(3 1 -2), 32.72°, d 2.737, rel. 33
(0 2 0), 34.55°, d 2.596, rel. 100
(5 1 -2), 37.06°, d 2.426, rel. 20
(6 2 -4), 68.56°, d 1.369, rel. 11
(7 1 3), 69.88°, d 1.346, rel. 11

Crystal structure
Cell: 17.2661 5.1951 6.7307 Å, 90.00 107.20 90.00°
Space group C2/m (No. 12)
Symmetry-distinct sites (fractional):
Tb1 0.0256 0.0000 0.2893 x4
Tb2 0.0897 0.5000 0.9290 x4
Tb3 0.1555 0.5000 0.4619 x4
Tb4 0.1991 0.0000 0.8048 x4
Zn1 0.1862 0.0000 0.2196 x4
Fe1 0.0000 0.5000 0.5000 x2



AcSmEu: theoretical PXRD pattern (Cu Kα X-rays), based on a crystal structure in Alexandria, relaxed with GGA-PBE.

Top 10 peaks for 10 to 90 degrees two-theta, by angle:
(1 0 3), 28.49°, d 3.133, rel. 100
(1 1 0), 32.74°, d 2.735, rel. 35
(0 0 6), 33.57°, d 2.669, rel. 16
(2 0 0), 46.98°, d 1.934, rel. 13
(1 1 6), 47.60°, d 1.910, rel. 24
(2 1 3), 55.87°, d 1.646, rel. 31
(1 0 9), 56.96°, d 1.617, rel. 14
(2 0 6), 58.97°, d 1.566, rel. 13
(2 1 9), 76.85°, d 1.240, rel. 11
(3 1 6), 87.77°, d 1.112, rel. 9

Crystal structure
Cell: 3.8684 3.8684 16.0170 Å, 90.00 90.00 90.00°
Space group I4mm (No. 107)
Symmetry-distinct sites (fractional):
Ac1 0.0000 0.0000 0.0000 x2
Sm1 0.0000 0.0000 0.3426 x2
Eu1 0.0000 0.0000 0.6793 x2



Rb2CdAgHg6: theoretical PXRD pattern (Cu Kα X-rays), based on a crystal structure in Alexandria, relaxed with GGA-PBE.

Top 10 peaks for 10 to 90 degrees two-theta, by angle:
(2 0 0), 15.68°, d 5.652, rel. 43
(2 2 2), 27.33°, d 3.263, rel. 100
(0 4 0), 31.62°, d 2.830, rel. 68
(4 0 0), 31.74°, d 2.819, rel. 34
(2 4 0), 35.48°, d 2.530, rel. 16
(4 0 4), 45.36°, d 2.000, rel. 50
(4 4 0), 45.44°, d 1.996, rel. 25
(2 2 6), 53.69°, d 1.707, rel. 16
(2 6 2), 53.79°, d 1.704, rel. 16
(4 4 4), 56.39°, d 1.632, rel. 26

Crystal structure
Cell: 11.2758 11.3045 11.3322 Å, 90.00 90.00 90.00°
Space group Fmmm (No. 69)
Symmetry-distinct sites (fractional):
Rb1 0.2500 0.2500 0.2500 x8
Cd1 0.0000 0.0000 0.0000 x4
Ag1 0.0000 0.0000 0.5000 x4
Hg1 0.0000 0.0000 0.2540 x8
Hg2 0.0000 0.2459 0.5000 x8
Hg3 0.2461 0.0000 0.5000 x8